The following is a calculated powder XRD pattern of Sr2Co2TeSeO2. It was derived from a GGA+U-relaxed structure, using Cu Ka.
Neutral-atom scattering factors, no anomalous dispersion.

Largest 12 diffraction maxima, in order of rising 2θ, 2θ = 10–90°:
index	2theta	I_rel
0 1 1	26.07	84
0 1 2	29.17	42
0 0 4	30.00	31
1 0 3	33.77	100
0 1 4	39.40	19
1 1 0	43.95	71
2 0 1	51.81	12
0 1 6	52.76	23
1 1 4	54.12	34
0 2 3	56.54	22
1 0 7	60.24	20
2 1 3	74.26	20

Structure:
```
data_Sr2Co2TeSeO2
_chemical_formula_sum 'Sr2 Co2 Te1 Se1 O2'
_cell_length_a 4.1208
_cell_length_b 4.1208
_cell_length_c 11.9143
_cell_angle_alpha 90.00
_cell_angle_beta 90.00
_cell_angle_gamma 120.00
_symmetry_space_group_name_H-M 'P 3 m 1'
_symmetry_Int_Tables_number 156
_symmetry_space_group_name_Hall 'P 3 -2"'
loop_
_atom_site_label
_atom_site_type_symbol
_atom_site_fract_x
_atom_site_fract_y
_atom_site_fract_z
Sr1 Sr 0.0000 0.0000 0.0000
Sr2 Sr 0.3333 0.6667 0.5194
Co1 Co 0.6667 0.3333 0.3073
Co2 Co 0.6667 0.3333 0.7878
Te1 Te 0.3333 0.6667 0.2155
Se1 Se 0.0000 0.0000 0.7166
O1 O 0.6667 0.3333 0.4638
O2 O 0.6667 0.3333 0.9444
```